Starting from a DFT-relaxed cell (GGA-PBE, the Materials Project), the XRD peak list of SbTe was simulated for a wavelength of 1.5418 Å.

Atomic structure:
Lattice parameters (Å, degrees): 3.8390 6.0576 4.9867 90.00 90.00 90.00
Space group Cmmm (No. 65)
One atom of each set of equivalent atoms:
Sb: 0.0000 0.0000 0.0000 (multiplicity 2)
Te: 0.0000 0.5000 0.5000 (multiplicity 2)

Largest 11 diffraction maxima, sorted by position, 5° ≤ 2θ ≤ 70°:
d 3.029, 29.49 deg, rel. 34
d 2.718, 32.95 deg, rel. 100
d 2.493, 36.02 deg, rel. 20
d 1.925, 47.22 deg, rel. 18
d 1.919, 47.36 deg, rel. 9
d 1.682, 54.55 deg, rel. 23
d 1.621, 56.78 deg, rel. 10
d 1.521, 60.91 deg, rel. 8
d 1.514, 61.20 deg, rel. 4
d 1.479, 62.82 deg, rel. 15
d 1.359, 69.11 deg, rel. 11